No. 1
This entry pairs a crystal structure of SmGaGe2O7 with its simulated powder XRD pattern. Radiation: CuKα. Structure: a structure optimized by DFT (PBE).
Neutral-atom scattering factors, no anomalous dispersion.

Cell and atoms:
Cell lengths 7.328, 6.641, 12.981 Å; angles 90.00, 117.73, 90.00 degrees
Space group P2_1/c (No. 14)
One atom of each set of equivalent atoms:
Sm: 0.241 0.145 0.473 (multiplicity 4)
Ga: 0.214 0.100 0.731 (multiplicity 4)
Ge: 0.214 0.659 0.454 (multiplicity 4)
Ge: 0.300 0.589 0.719 (multiplicity 4)
O: 0.012 0.659 0.921 (multiplicity 4)
O: 0.153 0.688 0.185 (multiplicity 4)
O: 0.204 0.054 0.871 (multiplicity 4)
O: 0.222 0.109 0.280 (multiplicity 4)
O: 0.250 0.000 0.075 (multiplicity 4)
O: 0.409 0.674 0.978 (multiplicity 4)
O: 0.431 0.127 0.693 (multiplicity 4)

Principal peaks in the range 10 to 90 degrees two-theta, low angle first:
hkl 0 0 2, 15.42°, intensity 14; hkl 2 0 0, 27.50°, intensity 100; hkl 0 2 1, 27.96°, intensity 14; hkl 1 2 -1, 29.57°, intensity 49; hkl 2 0 -4, 30.49°, intensity 25; hkl 0 0 4, 31.13°, intensity 36; hkl 1 2 1, 32.85°, intensity 22; hkl 0 2 3, 35.79°, intensity 22; hkl 1 2 -5, 44.50°, intensity 16; hkl 3 2 -1, 47.66°, intensity 15

***

No. 2
This entry pairs a crystal structure of Sm6InCo2 with its simulated powder XRD pattern. Radiation: CuKα. Structure: a structure optimized by DFT (PBE).
Neutral-atom scattering factors, no anomalous dispersion.

Cell and atoms:
Cell lengths 9.510, 9.947, 10.148 Å; angles 90.00, 90.00, 90.00 degrees
Space group Immm (No. 71)
One atom of each set of equivalent atoms:
Sm: 0.000 0.208 0.232 (multiplicity 8)
Sm: 0.188 0.500 0.179 (multiplicity 8)
Sm: 0.213 0.315 0.500 (multiplicity 8)
In: 0.000 0.000 0.000 (multiplicity 2)
In: 0.000 0.000 0.500 (multiplicity 2)
Co: 0.000 0.354 0.000 (multiplicity 4)
Co: 0.000 0.500 0.390 (multiplicity 4)

Principal peaks in the range 10 to 90 degrees two-theta, low angle first:
hkl 0 3 1, 28.32°, intensity 15; hkl 3 1 0, 29.57°, intensity 27; hkl 2 2 2, 31.44°, intensity 100; hkl 1 3 2, 33.64°, intensity 47; hkl 2 1 3, 33.74°, intensity 30; hkl 2 3 1, 34.13°, intensity 32; hkl 3 2 1, 34.70°, intensity 20; hkl 0 0 4, 35.38°, intensity 16; hkl 4 0 0, 37.83°, intensity 23; hkl 5 3 2, 58.86°, intensity 23

***

No. 3
This entry pairs a crystal structure of NaTl3 with its simulated powder XRD pattern. Radiation: CuKα. Structure: a structure optimized by DFT (PBE).
Neutral-atom scattering factors, no anomalous dispersion.

Cell and atoms:
Cell lengths 4.849, 4.849, 10.055 Å; angles 90.00, 90.00, 90.00 degrees
Space group I4/mmm (No. 139)
One atom of each set of equivalent atoms:
Na: 0.000 0.000 0.000 (multiplicity 2)
Tl: 0.000 0.000 0.500 (multiplicity 2)
Tl: 0.000 0.500 0.250 (multiplicity 4)

Principal peaks in the range 10 to 90 degrees two-theta, low angle first:
hkl 1 0 1, 20.33°, intensity 23; hkl 1 1 2, 31.58°, intensity 100; hkl 0 0 4, 35.72°, intensity 18; hkl 2 0 0, 37.08°, intensity 33; hkl 2 0 4, 52.43°, intensity 25; hkl 2 2 0, 53.44°, intensity 12; hkl 1 1 6, 61.60°, intensity 15; hkl 3 1 2, 63.41°, intensity 28; hkl 2 2 4, 65.95°, intensity 12; hkl 3 1 6, 85.91°, intensity 12